For TbYB4, a structure optimized by DFT (GGA-PBE) gives the theoretical powder diffraction line list in this record (a wavelength of 1.5418 Å).
No peak broadening, texture or thermal motion is included.

Principal peaks in the range 15° ≤ 2θ ≤ 90°, sorted by position:
d [Å]	2θ/deg	I_rel	h k l
3.429	25.98	100	1 0 1
2.890	30.94	35	0 0 4
2.627	34.13	62	1 0 3
2.325	38.73	96	1 1 2
1.944	46.73	31	1 0 5
1.795	50.86	23	2 0 0
1.591	57.98	23	2 1 1
1.525	60.73	20	2 0 4
1.482	62.68	21	2 1 3
1.114	87.56	18	3 1 2

Crystal structure
```
data_TbYB4
_cell_length_a 3.5908
_cell_length_b 3.5908
_cell_length_c 11.5605
_cell_angle_alpha 90.00
_cell_angle_beta 90.00
_cell_angle_gamma 90.00
_symmetry_space_group_name_H-M 'I -4 m 2'
_symmetry_Int_Tables_number 119
_symmetry_space_group_name_Hall 'I -4 -2'
loop_
_atom_site_label
_atom_site_type_symbol
_atom_site_fract_x
_atom_site_fract_y
_atom_site_fract_z
Tb1 Tb 0.0000 0.0000 0.0000
Y1 Y 0.0000 0.5000 0.7500
B1 B 0.0000 0.0000 0.4219
B2 B 0.0000 0.5000 0.1723
```

***

For TbZrB12, a structure optimized by DFT (GGA-PBE) gives the theoretical powder diffraction line list in this record (a wavelength of 1.5418 Å).
No peak broadening, texture or thermal motion is included.

Principal peaks in the range 15° ≤ 2θ ≤ 90°, sorted by position:
d [Å]	2θ/deg	I_rel	h k l
4.078	21.80	60	1 0 0
2.883	31.02	100	1 1 0
2.354	38.23	43	1 1 2
2.039	44.43	22	2 0 0
1.824	50.02	49	2 1 0
1.665	55.17	25	2 1 2
1.442	64.65	10	2 2 0
1.359	69.10	27	2 2 2
1.290	73.39	13	3 1 0
1.230	77.62	8	3 1 2

Crystal structure
```
data_TbZrB12
_cell_length_a 4.0801
_cell_length_b 4.0801
_cell_length_c 8.1458
_cell_angle_alpha 90.00
_cell_angle_beta 90.00
_cell_angle_gamma 90.00
_symmetry_space_group_name_H-M 'P 4/m m m'
_symmetry_Int_Tables_number 123
_symmetry_space_group_name_Hall '-P 4 2'
loop_
_atom_site_label
_atom_site_type_symbol
_atom_site_fract_x
_atom_site_fract_y
_atom_site_fract_z
Tb1 Tb 0.0000 0.0000 0.0000
Zr1 Zr 0.0000 0.0000 0.5000
B1 B 0.1982 0.5000 0.2517
B2 B 0.5000 0.5000 0.1002
B3 B 0.5000 0.5000 0.4020
```

***

For TcB, a structure optimized by DFT (GGA-PBE) gives the theoretical powder diffraction line list in this record (a wavelength of 1.5418 Å).
No peak broadening, texture or thermal motion is included.

Principal peaks in the range 15° ≤ 2θ ≤ 90°, sorted by position:
d [Å]	2θ/deg	I_rel	h k l
2.737	32.71	42	1 0 -1
2.617	34.27	100	0 1 1
2.148	42.07	86	1 1 0
1.996	45.44	23	0 0 2
1.968	46.12	21	1 0 1
1.962	46.27	20	1 0 -2
1.732	52.87	26	0 2 0
1.464	63.56	13	1 2 -1
1.308	72.20	11	0 2 2
1.300	72.74	20	1 1 2

Crystal structure
```
data_TcB
_cell_length_a 2.9142
_cell_length_b 3.4648
_cell_length_c 4.2457
_cell_angle_alpha 90.00
_cell_angle_beta 109.90
_cell_angle_gamma 90.00
_symmetry_space_group_name_H-M 'P 1 21/m 1'
_symmetry_Int_Tables_number 11
_symmetry_space_group_name_Hall '-P 2yb'
loop_
_atom_site_label
_atom_site_type_symbol
_atom_site_fract_x
_atom_site_fract_y
_atom_site_fract_z
Tc1 Tc 0.1419 0.2500 0.2808
B1 B 0.4337 0.2500 0.8572
```

***

For TcB, a structure optimized by DFT (GGA-PBE) gives the theoretical powder diffraction line list in this record (a wavelength of 1.5418 Å).
No peak broadening, texture or thermal motion is included.

Principal peaks in the range 15° ≤ 2θ ≤ 90°, sorted by position:
d [Å]	2θ/deg	I_rel	h k l
2.945	30.35	47	0 0 1
2.496	35.99	98	1 0 0
1.904	47.77	100	1 0 1
1.472	63.14	7	0 0 2
1.441	64.69	21	1 1 0
1.294	73.12	22	1 1 1
1.268	74.87	22	1 0 2
1.248	76.31	10	2 0 0
1.149	84.29	19	2 0 1

Crystal structure
```
data_TcB
_cell_length_a 2.8817
_cell_length_b 2.8817
_cell_length_c 2.9450
_cell_angle_alpha 90.00
_cell_angle_beta 90.00
_cell_angle_gamma 120.00
_symmetry_space_group_name_H-M 'P -6 m 2'
_symmetry_Int_Tables_number 187
_symmetry_space_group_name_Hall 'P -6 2'
loop_
_atom_site_label
_atom_site_type_symbol
_atom_site_fract_x
_atom_site_fract_y
_atom_site_fract_z
Tc1 Tc 0.0000 0.0000 0.0000
B1 B 0.3333 0.6667 0.5000
```

***

For TcB4, a structure optimized by DFT (GGA-PBE) gives the theoretical powder diffraction line list in this record (a wavelength of 1.5418 Å).
No peak broadening, texture or thermal motion is included.

Principal peaks in the range 15° ≤ 2θ ≤ 90°, sorted by position:
d [Å]	2θ/deg	I_rel	h k l
3.753	23.71	63	1 0 1
3.276	27.22	27	0 0 2
2.643	33.91	79	1 1 0
2.161	41.80	14	2 0 1
2.057	44.02	100	1 1 2
1.971	46.05	17	1 0 3
1.526	60.68	25	3 0 0
1.392	67.25	16	1 1 4
1.226	77.95	18	2 2 2
1.117	87.33	14	3 0 4

Crystal structure
```
data_TcB4
_cell_length_a 5.2866
_cell_length_b 5.2866
_cell_length_c 6.5512
_cell_angle_alpha 90.00
_cell_angle_beta 90.00
_cell_angle_gamma 120.00
_symmetry_space_group_name_H-M 'P 63/m m c'
_symmetry_Int_Tables_number 194
_symmetry_space_group_name_Hall '-P 6c 2c'
loop_
_atom_site_label
_atom_site_type_symbol
_atom_site_fract_x
_atom_site_fract_y
_atom_site_fract_z
Tc1 Tc 0.0000 0.0000 0.2500
Tc2 Tc 0.3333 0.6667 0.2500
B1 B 0.0000 0.3357 0.0000
B2 B 0.3333 0.6667 0.6198
```

***

For TiTcB2, a structure optimized by DFT (GGA-PBE) gives the theoretical powder diffraction line list in this record (a wavelength of 1.5418 Å).
No peak broadening, texture or thermal motion is included.

Principal peaks in the range 15° ≤ 2θ ≤ 90°, sorted by position:
d [Å]	2θ/deg	I_rel	h k l
3.573	24.92	46	0 1 1
2.970	30.09	35	0 0 2
2.513	35.73	46	1 1 0
2.474	36.31	33	0 1 2
2.315	38.91	100	1 1 1
2.124	42.57	63	1 0 2
2.093	43.23	65	0 2 1
1.810	50.41	33	0 1 3
1.724	53.14	32	1 2 1
1.332	70.71	27	1 2 3

Crystal structure
```
data_TiTcB2
_cell_length_a 3.0381
_cell_length_b 4.4730
_cell_length_c 5.9395
_cell_angle_alpha 90.00
_cell_angle_beta 90.00
_cell_angle_gamma 90.00
_symmetry_space_group_name_H-M 'P m c 21'
_symmetry_Int_Tables_number 26
_symmetry_space_group_name_Hall 'P 2c -2'
loop_
_atom_site_label
_atom_site_type_symbol
_atom_site_fract_x
_atom_site_fract_y
_atom_site_fract_z
Ti1 Ti 0.0000 0.1323 0.0000
Tc1 Tc 0.5000 0.3570 0.3510
B1 B 0.0000 0.3522 0.6445
B2 B 0.5000 0.1532 0.7089
```

***

Q: What is the formula in the second record?
A: TbZrB12

***

Q: Number 5 is which compound?
A: TcB4